Entry 1:
Structure and computed powder diffractogram of PmSm2Bi (a crystal structure in Alexandria, relaxed with GGA-PBE; λ = 1.5418 Å (Cu Kα)).
Peak positions follow from Bragg's law for the DFT cell and can differ from measured ones.

Peak list (10 most intense, 15° ≤ 2θ ≤ 90°, in order of rising 2θ)
Position (°2θ), Rel. int.
17.90, 2.0
31.26, 100.0
36.25, 50.6
52.20, 36.0
62.11, 42.9
65.21, 12.4
76.92, 3.9
77.02, 1.9
85.38, 18.2
88.16, 17.1

Atomic structure:
Cell: 4.9580 4.9580 4.9524 Å, 90.00 90.00 90.00°
Element x y z (fractional)
Pm  0.0000  0.0000  0.0000
Sm  0.0000  0.5000  0.5000
Sm  0.5000  0.0000  0.5000
Bi  0.5000  0.5000  0.0000


Entry 2:
Structure and computed powder diffractogram of Pm5SmBi4 (a crystal structure in Alexandria, relaxed with GGA-PBE; λ = 1.5418 Å (Cu Kα)).
Peak positions follow from Bragg's law for the DFT cell and can differ from measured ones.

Peak list (10 most intense, 15° ≤ 2θ ≤ 90°, in order of rising 2θ)
Position (°2θ), Rel. int.
20.63, 51.2
21.65, 94.6
28.30, 73.6
34.34, 100.0
34.74, 27.7
36.04, 43.0
37.14, 31.2
39.62, 26.3
40.56, 26.7
60.40, 30.2

Atomic structure:
Cell: 9.6815 10.3589 7.7434 Å, 90.00 90.00 90.00°
Element x y z (fractional)
Pm  0.0424  0.0526  0.2489
Pm  0.0424  0.4474  0.2489
Pm  0.2500  0.2500  0.8590
Pm  0.4576  0.0526  0.2489
Pm  0.4576  0.4474  0.2489
Pm  0.5424  0.5526  0.7511
Pm  0.5424  0.9474  0.7511
Pm  0.7500  0.7500  0.1410
Pm  0.9576  0.5526  0.7511
Pm  0.9576  0.9474  0.7511
Sm  0.2500  0.7500  0.2308
Sm  0.7500  0.2500  0.7692
Bi  0.0255  0.2500  0.5640
Bi  0.2500  0.5451  0.9384
Bi  0.2500  0.9549  0.9384
Bi  0.4745  0.2500  0.5640
Bi  0.5255  0.7500  0.4360
Bi  0.7500  0.0451  0.0616
Bi  0.7500  0.4549  0.0616
Bi  0.9745  0.7500  0.4360


Entry 3:
Structure and computed powder diffractogram of Pm3Sn5Bi (a crystal structure in Alexandria, relaxed with GGA-PBE; λ = 1.5418 Å (Cu Kα)).
Peak positions follow from Bragg's law for the DFT cell and can differ from measured ones.

Peak list (10 most intense, 15° ≤ 2θ ≤ 90°, in order of rising 2θ)
Position (°2θ), Rel. int.
31.69, 15.9
32.40, 100.0
33.25, 96.8
47.11, 33.0
56.45, 8.2
57.80, 14.5
58.35, 35.3
66.61, 26.1
77.69, 14.7
85.09, 10.3

Atomic structure:
Cell: 9.5711 9.5711 6.5205 Å, 90.00 90.00 120.00°
Element x y z (fractional)
Pm  0.0000  0.3662  0.2500
Pm  0.0000  0.6338  0.7500
Pm  0.3662  0.0000  0.2500
Pm  0.3662  0.3662  0.7500
Pm  0.6338  0.0000  0.7500
Pm  0.6338  0.6338  0.2500
Sn  0.0000  0.3036  0.7500
Sn  0.0000  0.6964  0.2500
Sn  0.3036  0.0000  0.7500
Sn  0.3036  0.3036  0.2500
Sn  0.3333  0.6667  0.0000
Sn  0.3333  0.6667  0.5000
Sn  0.6667  0.3333  0.0000
Sn  0.6667  0.3333  0.5000
Sn  0.6964  0.0000  0.2500
Sn  0.6964  0.6964  0.7500
Bi  0.0000  0.0000  0.0000
Bi  0.0000  0.0000  0.5000


Entry 4:
Structure and computed powder diffractogram of Pm2SnBi4 (a crystal structure in Alexandria, relaxed with GGA-PBE; λ = 1.5418 Å (Cu Kα)).
Peak positions follow from Bragg's law for the DFT cell and can differ from measured ones.

Peak list (10 most intense, 15° ≤ 2θ ≤ 90°, in order of rising 2θ)
Position (°2θ), Rel. int.
25.19, 18.9
28.85, 14.7
31.89, 14.8
32.05, 100.0
37.66, 17.1
39.59, 33.9
51.71, 15.6
55.79, 11.2
57.24, 11.8
67.10, 32.1

Atomic structure:
Cell: 4.5525 4.5525 11.2247 Å, 90.00 90.00 90.00°
Element x y z (fractional)
Pm  0.0000  0.5000  0.2258
Pm  0.5000  0.0000  0.7742
Sn  0.0000  0.0000  0.5000
Bi  0.0000  0.0000  0.0000
Bi  0.0000  0.5000  0.6966
Bi  0.5000  0.0000  0.3034
Bi  0.5000  0.5000  0.0000


Entry 5:
Structure and computed powder diffractogram of Pm2SnBi5 (a crystal structure in Alexandria, relaxed with GGA-PBE; λ = 1.5418 Å (Cu Kα)).
Peak positions follow from Bragg's law for the DFT cell and can differ from measured ones.

Peak list (10 most intense, 15° ≤ 2θ ≤ 90°, in order of rising 2θ)
Position (°2θ), Rel. int.
28.11, 50.4
30.64, 24.7
31.14, 100.0
31.65, 16.5
32.06, 24.7
39.54, 28.1
40.81, 19.4
51.77, 13.2
58.12, 14.1
66.52, 13.0

Atomic structure:
Cell: 9.5583 11.6713 4.5589 Å, 90.00 90.00 90.00°
Element x y z (fractional)
Pm  0.0793  0.1953  0.0000
Pm  0.4207  0.6953  0.0000
Pm  0.5793  0.3047  0.0000
Pm  0.9207  0.8047  0.0000
Sn  0.0000  0.5000  0.5000
Sn  0.5000  0.0000  0.5000
Bi  0.0000  0.0000  0.5000
Bi  0.1681  0.7347  0.5000
Bi  0.2230  0.4578  0.0000
Bi  0.2770  0.9578  0.0000
Bi  0.3319  0.2347  0.5000
Bi  0.5000  0.5000  0.5000
Bi  0.6681  0.7653  0.5000
Bi  0.7230  0.0422  0.0000
Bi  0.7770  0.5422  0.0000
Bi  0.8319  0.2653  0.5000


Entry 6:
Structure and computed powder diffractogram of SrPm4Bi5 (a crystal structure in Alexandria, relaxed with GGA-PBE; λ = 1.5418 Å (Cu Kα)).
Peak positions follow from Bragg's law for the DFT cell and can differ from measured ones.

Peak list (10 most intense, 15° ≤ 2θ ≤ 90°, in order of rising 2θ)
Position (°2θ), Rel. int.
27.25, 100.0
38.66, 12.9
38.92, 52.4
39.20, 13.5
47.94, 14.1
48.39, 14.3
56.22, 13.4
63.57, 24.9
70.14, 8.8
70.85, 9.3

Atomic structure:
Cell: 12.3130 12.3130 12.3130 Å, 158.48 149.16 37.91°
Element x y z (fractional)
Sr  0.0000  0.0000  0.0000
Pm  0.2019  0.2019  0.0000
Pm  0.4008  0.4008  0.0000
Pm  0.5992  0.5992  0.0000
Pm  0.7981  0.7981  0.0000
Bi  0.1066  0.6066  0.5000
Bi  0.3012  0.8012  0.5000
Bi  0.5000  0.0000  0.5000
Bi  0.6988  0.1988  0.5000
Bi  0.8934  0.3934  0.5000


Entry 7:
Structure and computed powder diffractogram of Tb3Pm5Bi8 (a crystal structure in Alexandria, relaxed with GGA-PBE; λ = 1.5418 Å (Cu Kα)).
Peak positions follow from Bragg's law for the DFT cell and can differ from measured ones.

Peak list (10 most intense, 15° ≤ 2θ ≤ 90°, in order of rising 2θ)
Position (°2θ), Rel. int.
23.97, 4.3
27.74, 100.0
39.64, 78.4
46.85, 2.5
49.07, 28.6
57.31, 13.6
63.00, 1.1
64.84, 37.6
71.93, 27.9
85.39, 9.2

Atomic structure:
Cell: 9.0932 9.0932 9.0932 Å, 60.02 60.02 60.02°
Element x y z (fractional)
Tb  0.0000  0.5000  0.5000
Tb  0.5000  0.0000  0.5000
Tb  0.5000  0.5000  0.0000
Pm  0.0000  0.0000  0.0000
Pm  0.0000  0.0000  0.5000
Pm  0.0000  0.5000  0.0000
Pm  0.5000  0.0000  0.0000
Pm  0.5000  0.5000  0.5000
Bi  0.2500  0.2500  0.7462
Bi  0.2500  0.7462  0.2500
Bi  0.2519  0.2519  0.2519
Bi  0.2538  0.7500  0.7500
Bi  0.7462  0.2500  0.2500
Bi  0.7481  0.7481  0.7481
Bi  0.7500  0.2538  0.7500
Bi  0.7500  0.7500  0.2538


Entry 8:
Structure and computed powder diffractogram of Pm3BiTe (a crystal structure in Alexandria, relaxed with GGA-PBE; λ = 1.5418 Å (Cu Kα)).
Peak positions follow from Bragg's law for the DFT cell and can differ from measured ones.

Peak list (10 most intense, 15° ≤ 2θ ≤ 90°, in order of rising 2θ)
Position (°2θ), Rel. int.
22.39, 32.9
29.54, 81.9
30.10, 28.3
30.51, 32.1
30.70, 36.8
31.16, 100.0
32.69, 29.7
37.56, 40.7
39.68, 35.7
48.46, 23.9

Atomic structure:
Cell: 9.5457 9.5457 7.8397 Å, 91.51 91.51 77.89°
Element x y z (fractional)
Pm  0.0480  0.1520  0.0959
Pm  0.1470  0.6362  0.5765
Pm  0.1520  0.0480  0.5959
Pm  0.2576  0.5018  0.0705
Pm  0.3638  0.8530  0.9235
Pm  0.4982  0.7424  0.4295
Pm  0.5018  0.2576  0.5705
Pm  0.6362  0.1470  0.0765
Pm  0.7424  0.4982  0.9295
Pm  0.8480  0.9520  0.4041
Pm  0.8530  0.3638  0.4235
Pm  0.9520  0.8480  0.9041
Bi  0.1886  0.3261  0.3949
Bi  0.3261  0.1886  0.8949
Bi  0.6739  0.8114  0.1051
Bi  0.8114  0.6739  0.6051
Te  0.1700  0.8300  0.2500
Te  0.4471  0.5529  0.7500
Te  0.5529  0.4471  0.2500
Te  0.8300  0.1700  0.7500


Entry 9:
Structure and computed powder diffractogram of PmBi2Te (a crystal structure in Alexandria, relaxed with GGA-PBE; λ = 1.5418 Å (Cu Kα)).
Peak positions follow from Bragg's law for the DFT cell and can differ from measured ones.

Peak list (10 most intense, 15° ≤ 2θ ≤ 90°, in order of rising 2θ)
Position (°2θ), Rel. int.
26.25, 67.0
28.09, 29.4
30.18, 100.0
30.52, 74.2
32.89, 41.3
33.43, 50.7
40.46, 40.7
41.51, 37.2
48.86, 29.5
51.35, 27.6

Atomic structure:
Cell: 4.3525 4.4589 13.7043 Å, 90.00 97.68 90.00°
Element x y z (fractional)
Pm  0.1799  0.2500  0.3513
Pm  0.8201  0.7500  0.6487
Bi  0.0968  0.7500  0.1047
Bi  0.4039  0.7500  0.8358
Bi  0.5961  0.2500  0.1642
Bi  0.9032  0.2500  0.8953
Te  0.2935  0.2500  0.5915
Te  0.7065  0.7500  0.4085


Entry 10:
Structure and computed powder diffractogram of Pm3BiTe3 (a crystal structure in Alexandria, relaxed with GGA-PBE; λ = 1.5418 Å (Cu Kα)).
Peak positions follow from Bragg's law for the DFT cell and can differ from measured ones.

Peak list (10 most intense, 15° ≤ 2θ ≤ 90°, in order of rising 2θ)
Position (°2θ), Rel. int.
23.55, 39.8
28.10, 31.1
29.41, 47.4
30.53, 40.0
33.01, 96.0
34.07, 100.0
34.71, 28.7
44.42, 21.4
48.17, 24.8
68.46, 19.6

Atomic structure:
Cell: 8.3541 8.3541 8.3541 Å, 68.47 68.47 68.47°
Element x y z (fractional)
Pm  0.0336  0.7952  0.4321
Pm  0.2048  0.5679  0.9664
Pm  0.4321  0.0336  0.7952
Pm  0.5679  0.9664  0.2048
Pm  0.7952  0.4321  0.0336
Pm  0.9664  0.2048  0.5679
Bi  0.1605  0.1605  0.1605
Bi  0.8395  0.8395  0.8395
Te  0.1442  0.3998  0.6844
Te  0.3156  0.8558  0.6002
Te  0.3998  0.6844  0.1442
Te  0.6002  0.3156  0.8558
Te  0.6844  0.1442  0.3998
Te  0.8558  0.6002  0.3156


Entry 11:
Structure and computed powder diffractogram of Pm6BiTe4 (a crystal structure in Alexandria, relaxed with GGA-PBE; λ = 1.5418 Å (Cu Kα)).
Peak positions follow from Bragg's law for the DFT cell and can differ from measured ones.

Peak list (10 most intense, 15° ≤ 2θ ≤ 90°, in order of rising 2θ)
Position (°2θ), Rel. int.
26.82, 52.5
27.84, 68.8
28.70, 100.0
30.07, 28.3
35.21, 28.6
38.58, 34.1
40.76, 26.8
40.85, 40.1
41.21, 37.6
59.42, 26.7

Atomic structure:
Cell: 7.5331 7.5331 22.4731 Å, 90.00 90.00 146.19°
Element x y z (fractional)
Pm  0.0000  0.0000  0.0000
Pm  0.0000  0.0000  0.5000
Pm  0.1633  0.8367  0.7500
Pm  0.2677  0.7323  0.1035
Pm  0.2677  0.7323  0.3965
Pm  0.4402  0.5598  0.6665
Pm  0.4402  0.5598  0.8335
Pm  0.5598  0.4402  0.1665
Pm  0.5598  0.4402  0.3335
Pm  0.7323  0.2677  0.6035
Pm  0.7323  0.2677  0.8965
Pm  0.8367  0.1633  0.2500
Bi  0.1742  0.8258  0.2500
Bi  0.8258  0.1742  0.7500
Te  0.0813  0.9187  0.6260
Te  0.0813  0.9187  0.8740
Te  0.3530  0.6470  0.5360
Te  0.3530  0.6470  0.9640
Te  0.6470  0.3530  0.0360
Te  0.6470  0.3530  0.4640
Te  0.9187  0.0813  0.1260
Te  0.9187  0.0813  0.3740


Entry 12:
Structure and computed powder diffractogram of PmTh2Bi2Te2 (a crystal structure in Alexandria, relaxed with GGA-PBE; λ = 1.5418 Å (Cu Kα)).
Peak positions follow from Bragg's law for the DFT cell and can differ from measured ones.

Peak list (10 most intense, 15° ≤ 2θ ≤ 90°, in order of rising 2θ)
Position (°2θ), Rel. int.
21.05, 28.3
23.94, 33.7
29.94, 100.0
31.12, 45.3
32.09, 20.2
32.22, 68.6
42.86, 38.3
44.56, 56.5
53.91, 20.4
63.53, 22.9

Atomic structure:
Cell: 8.9097 8.9097 8.9097 Å, 140.86 140.86 56.55°
Element x y z (fractional)
Pm  0.0000  0.0000  0.0000
Th  0.3878  0.3878  0.0000
Th  0.6122  0.6122  0.0000
Bi  0.0000  0.5000  0.5000
Bi  0.5000  0.0000  0.5000
Te  0.1973  0.1973  0.0000
Te  0.8027  0.8027  0.0000